Simulated powder X-ray diffraction pattern of Li6AlAg6 for Cu Ka, from a crystal structure in Alexandria, relaxed with GGA-PBE.
Neutral-atom scattering factors, no anomalous dispersion.

Most intense lines, 10° ≤ 2θ ≤ 80°, in order of rising 2θ:
| 2θ/deg | Rel. int. | index |
| --- | --- | --- |
| 19.23 | 44.4 | 0 0 2 |
| 27.95 | 52.3 | 1 0 2 |
| 35.15 | 100.0 | 1 1 0 |
| 35.55 | 24.1 | 1 0 3 |
| 40.38 | 48.3 | 1 1 2 |
| 44.28 | 31.8 | 1 0 4 |
| 45.49 | 17.9 | 2 0 2 |
| 71.62 | 22.1 | 1 1 6 |

```
data_Li6AlAg6
_cell_length_a 5.1057
_cell_length_b 5.1057
_cell_length_c 9.2294
_cell_angle_alpha 90.00
_cell_angle_beta 90.00
_cell_angle_gamma 120.00
_symmetry_space_group_name_H-M 'P 6/m m m'
_symmetry_Int_Tables_number 191
_symmetry_space_group_name_Hall '-P 6 2'
loop_
_atom_site_label
_atom_site_fract_x
_atom_site_fract_y
_atom_site_fract_z
Li1 0.0000 0.5000 0.2421
Al1 0.0000 0.0000 0.0000
Ag1 0.0000 0.0000 0.3487
Ag2 0.3333 0.6667 0.0000
Ag3 0.3333 0.6667 0.5000
```

Simulated powder X-ray diffraction pattern of LiAl2Ag5 for Cu Ka, from a crystal structure in Alexandria, relaxed with GGA-PBE.
Neutral-atom scattering factors, no anomalous dispersion.

Most intense lines, 10° ≤ 2θ ≤ 80°, in order of rising 2θ:
| 2θ/deg | Rel. int. | index |
| --- | --- | --- |
| 13.00 | 39.6 | 0 0 2 |
| 19.48 | 33.0 | 0 2 0 |
| 29.95 | 56.2 | 1 1 3 |
| 34.76 | 100.0 | 1 1 4 |
| 38.37 | 73.0 | 1 3 2 |
| 40.17 | 46.5 | 1 1 5 |
| 41.10 | 59.1 | 2 0 0 |
| 41.24 | 63.5 | 1 3 3 |

```
data_LiAl2Ag5
_cell_length_a 4.393
_cell_length_b 9.114
_cell_length_c 13.621
_cell_angle_alpha 90.00
_cell_angle_beta 90.00
_cell_angle_gamma 90.00
_symmetry_space_group_name_H-M 'C m c m'
_symmetry_Int_Tables_number 63
_symmetry_space_group_name_Hall '-C 2c 2'
loop_
_atom_site_label
_atom_site_fract_x
_atom_site_fract_y
_atom_site_fract_z
Li1 0.000 0.225 0.250
Al1 0.000 0.242 0.640
Ag1 0.000 0.053 0.099
Ag2 0.000 0.357 0.052
Ag3 0.000 0.486 0.750
```